Entry 1:
# ZnSn3
Calculated PXRD pattern, Cu Kα (λ = 1.5418 Å). Input: a structure optimized by DFT (GGA-PBE).
Peak positions follow from Bragg's law for the DFT cell and can differ from measured ones.

Principal peaks in the range 2θ = 15–90°, in order of rising 2θ:
4.074 Å, 2θ 21.8, I = 3.6
2.683 Å, 2θ 33.4, I = 100.0
2.603 Å, 2θ 34.5, I = 23.0
2.214 Å, 2θ 40.8, I = 29.2
1.686 Å, 2θ 54.4, I = 25.4
1.565 Å, 2θ 59.0, I = 10.0
1.518 Å, 2θ 61.1, I = 18.1
1.352 Å, 2θ 69.5, I = 24.9
1.341 Å, 2θ 70.2, I = 12.1
1.301 Å, 2θ 72.7, I = 2.8
1.122 Å, 2θ 86.8, I = 7.3
1.107 Å, 2θ 88.3, I = 3.5

Atomic structure:
abc: 4.4271 4.4271 10.4107
angles: 90.00 90.00 90.00
Positions (direct):
1 Zn 0.0000 0.0000 0.0000
2 Zn 0.5000 0.5000 0.5000
3 Sn 0.0000 0.0000 0.5000
4 Sn 0.0000 0.5000 0.2500
5 Sn 0.0000 0.5000 0.7500
6 Sn 0.5000 0.0000 0.2500
7 Sn 0.5000 0.0000 0.7500
8 Sn 0.5000 0.5000 0.0000

Entry 2:
# TaAlNi
Calculated PXRD pattern, Cu Kα (λ = 1.5418 Å). Input: a structure optimized by DFT (GGA-PBE).
Peak positions follow from Bragg's law for the DFT cell and can differ from measured ones.

Principal peaks in the range 2θ = 15–90°, in order of rising 2θ:
4.313 Å, 2θ 20.6, I = 37.0
4.233 Å, 2θ 21.0, I = 21.9
2.931 Å, 2θ 30.5, I = 32.8
2.506 Å, 2θ 35.8, I = 38.2
2.459 Å, 2θ 36.5, I = 57.7
2.266 Å, 2θ 39.8, I = 100.0
2.254 Å, 2θ 40.0, I = 41.3
2.123 Å, 2θ 42.6, I = 35.6
2.094 Å, 2θ 43.2, I = 85.8
2.082 Å, 2θ 43.5, I = 45.2
1.353 Å, 2θ 69.5, I = 20.9
1.284 Å, 2θ 73.8, I = 25.0

Atomic structure:
abc: 7.9892 4.9190 4.9190
angles: 61.26 90.00 90.00
Positions (direct):
1 Ta 0.1798 0.0000 0.0000
2 Ta 0.3007 0.6700 0.6700
3 Ta 0.6993 0.6700 0.6700
4 Ta 0.8202 0.0000 0.0000
5 Al 0.2381 0.3296 0.3296
6 Al 0.5000 0.1714 0.6869
7 Al 0.5000 0.6869 0.1714
8 Al 0.7619 0.3296 0.3296
9 Ni 0.0000 0.5077 0.5077
10 Ni 0.0000 0.5101 0.9912
11 Ni 0.0000 0.9912 0.5101
12 Ni 0.5000 0.1746 0.1746

Entry 3:
# K2U2O7
Calculated PXRD pattern, Cu Kα (λ = 1.5418 Å). Input: a structure optimized by DFT (GGA-PBE).
Peak positions follow from Bragg's law for the DFT cell and can differ from measured ones.

Principal peaks in the range 2θ = 15–90°, in order of rising 2θ:
3.442 Å, 2θ 25.9, I = 60.3
3.393 Å, 2θ 26.3, I = 34.5
3.304 Å, 2θ 27.0, I = 100.0
2.887 Å, 2θ 31.0, I = 16.4
2.876 Å, 2θ 31.1, I = 34.5
2.654 Å, 2θ 33.8, I = 11.0
2.059 Å, 2θ 44.0, I = 17.2
2.016 Å, 2θ 45.0, I = 30.5
1.934 Å, 2θ 47.0, I = 14.7
1.757 Å, 2θ 52.1, I = 11.7
1.732 Å, 2θ 52.9, I = 16.7
1.721 Å, 2θ 53.2, I = 14.6

Atomic structure:
abc: 6.9876 8.0628 7.1853
angles: 90.00 109.19 90.00
Positions (direct):
1 K 0.0136 0.0000 0.0034
2 K 0.4796 0.7570 0.9940
3 K 0.5204 0.2570 0.0060
4 K 0.9864 0.5000 0.9966
5 U 0.0308 0.2588 0.5051
6 U 0.4795 0.5007 0.4960
7 U 0.5205 0.0007 0.5040
8 U 0.9692 0.7588 0.4949
9 O 0.0617 0.7458 0.7722
10 O 0.1228 0.2573 0.7824
11 O 0.1510 0.5233 0.4883
12 O 0.2323 0.8989 0.4985
13 O 0.3651 0.2443 0.5128
14 O 0.3874 0.4991 0.2174
15 O 0.4282 0.0131 0.2255
16 O 0.5718 0.5131 0.7745
17 O 0.6126 0.9991 0.7826
18 O 0.6349 0.7443 0.4872
19 O 0.7677 0.3989 0.5015
20 O 0.8490 0.0233 0.5117
21 O 0.8772 0.7573 0.2176
22 O 0.9383 0.2458 0.2278